For ErTm3Pd, DFT lattice parameters and positions (GGA-PBE) gives the computed X-ray diffraction stick pattern in this record (a wavelength of 1.5418 Å).
Neutral-atom scattering factors, no anomalous dispersion.

Crystal structure
a = 12.2493 Å, b = 12.2493 Å, c = 12.2493 Å
α = 157.03°, β = 156.95°, γ = 32.77°
Fractional coordinates of all 10 atoms:
1 Er 0.4463 0.1963 0.2500
2 Er 0.5537 0.8037 0.7500
3 Tm 0.0539 0.3039 0.7500
4 Tm 0.1966 0.4466 0.7500
5 Tm 0.3036 0.0536 0.2500
6 Tm 0.6964 0.9464 0.7500
7 Tm 0.8034 0.5534 0.2500
8 Tm 0.9461 0.6961 0.2500
9 Pd 0.1255 0.8755 0.2500
10 Pd 0.8745 0.1245 0.7500

Peak list (6 most intense, 5° ≤ 2θ ≤ 70°, in order of falling intensity)
2θ = 34.62°, intensity 100
2θ = 26.90°, intensity 36
2θ = 36.73°, intensity 26
2θ = 36.85°, intensity 25
2θ = 53.01°, intensity 18
2θ = 30.42°, intensity 17

***

For Er3TmPd2, DFT lattice parameters and positions (GGA-PBE) gives the computed X-ray diffraction stick pattern in this record (a wavelength of 1.5418 Å).
Neutral-atom scattering factors, no anomalous dispersion.

Crystal structure
a = 8.3603 Å, b = 8.3603 Å, c = 8.3603 Å
α = 131.69°, β = 72.10°, γ = 129.95°
Fractional coordinates of all 12 atoms:
1 Er 0.0179 0.7500 0.2679
2 Er 0.2500 0.2500 0.0000
3 Er 0.4821 0.7500 0.7321
4 Er 0.5179 0.2500 0.2679
5 Er 0.7500 0.7500 0.0000
6 Er 0.9821 0.2500 0.7321
7 Tm 0.0000 0.5000 0.5000
8 Tm 0.5000 0.0000 0.5000
9 Pd 0.1401 0.2085 0.3486
10 Pd 0.3599 0.7085 0.0684
11 Pd 0.6401 0.2915 0.9316
12 Pd 0.8599 0.7915 0.6514

Peak list (6 most intense, 5° ≤ 2θ ≤ 70°, in order of falling intensity)
2θ = 37.41°, intensity 100
2θ = 34.81°, intensity 91
2θ = 22.36°, intensity 50
2θ = 26.05°, intensity 45
2θ = 36.55°, intensity 44
2θ = 29.19°, intensity 41

***

For Er2Tm2Pd3, DFT lattice parameters and positions (GGA-PBE) gives the computed X-ray diffraction stick pattern in this record (a wavelength of 1.5418 Å).
Neutral-atom scattering factors, no anomalous dispersion.

Crystal structure
a = 4.8883 Å, b = 4.8933 Å, c = 7.6728 Å
α = 108.36°, β = 108.40°, γ = 90.06°
Fractional coordinates of all 7 atoms:
1 Er 0.1269 0.1269 0.2505
2 Er 0.8731 0.8731 0.7495
3 Tm 0.3735 0.3726 0.7494
4 Tm 0.6265 0.6274 0.2506
5 Pd 0.0000 0.5000 0.0000
6 Pd 0.2540 0.7540 0.5098
7 Pd 0.7460 0.2460 0.4902

Peak list (6 most intense, 5° ≤ 2θ ≤ 70°, in order of falling intensity)
2θ = 36.77°, intensity 100
2θ = 36.88°, intensity 66
2θ = 36.99°, intensity 33
2θ = 52.95°, intensity 23
2θ = 66.43°, intensity 23
2θ = 25.76°, intensity 19

***

For Er3Tm2Pd2, DFT lattice parameters and positions (GGA-PBE) gives the computed X-ray diffraction stick pattern in this record (a wavelength of 1.5418 Å).
Neutral-atom scattering factors, no anomalous dispersion.

Crystal structure
a = 6.3889 Å, b = 6.3889 Å, c = 9.0004 Å
α = 115.45°, β = 115.45°, γ = 33.33°
Fractional coordinates of all 7 atoms:
1 Er 0.0000 0.0000 0.0000
2 Er 0.1126 0.1126 0.4392
3 Er 0.8874 0.8874 0.5608
4 Tm 0.3413 0.3413 0.1863
5 Tm 0.6587 0.6587 0.8137
6 Pd 0.3270 0.3270 0.7645
7 Pd 0.6730 0.6730 0.2355

Peak list (6 most intense, 5° ≤ 2θ ≤ 70°, in order of falling intensity)
2θ = 34.76°, intensity 100
2θ = 32.85°, intensity 57
2θ = 31.53°, intensity 53
2θ = 33.03°, intensity 46
2θ = 29.41°, intensity 32
2θ = 36.50°, intensity 31

***

For ErTm6Pd3, DFT lattice parameters and positions (GGA-PBE) gives the computed X-ray diffraction stick pattern in this record (a wavelength of 1.5418 Å).
Neutral-atom scattering factors, no anomalous dispersion.

Crystal structure
a = 8.5772 Å, b = 8.5772 Å, c = 7.1800 Å
α = 90.00°, β = 90.00°, γ = 98.91°
Fractional coordinates of all 20 atoms:
1 Er 0.1834 0.8166 0.5000
2 Er 0.8166 0.1834 0.0000
3 Tm 0.0799 0.4640 0.7196
4 Tm 0.1280 0.2069 0.3722
5 Tm 0.2069 0.1280 0.8722
6 Tm 0.2710 0.7290 0.0213
7 Tm 0.4640 0.0799 0.2196
8 Tm 0.4664 0.5336 0.3778
9 Tm 0.5336 0.4664 0.8778
10 Tm 0.5360 0.9201 0.7196
11 Tm 0.7290 0.2710 0.5213
12 Tm 0.7931 0.8720 0.3722
13 Tm 0.8720 0.7931 0.8722
14 Tm 0.9201 0.5360 0.2196
15 Pd 0.0789 0.9211 0.1660
16 Pd 0.2049 0.4115 0.0846
17 Pd 0.4115 0.2049 0.5846
18 Pd 0.5885 0.7951 0.0846
19 Pd 0.7951 0.5885 0.5846
20 Pd 0.9211 0.0789 0.6660

Peak list (6 most intense, 5° ≤ 2θ ≤ 70°, in order of falling intensity)
2θ = 35.44°, intensity 100
2θ = 34.23°, intensity 85
2θ = 30.11°, intensity 76
2θ = 32.70°, intensity 68
2θ = 31.68°, intensity 56
2θ = 34.11°, intensity 47

***

For Er5TmPd2, DFT lattice parameters and positions (GGA-PBE) gives the computed X-ray diffraction stick pattern in this record (a wavelength of 1.5418 Å).
Neutral-atom scattering factors, no anomalous dispersion.

Crystal structure
a = 6.3703 Å, b = 6.3703 Å, c = 19.6699 Å
α = 105.84°, β = 105.84°, γ = 33.08°
Fractional coordinates of all 16 atoms:
1 Er 0.0181 0.0181 0.2215
2 Er 0.1384 0.1384 0.9485
3 Er 0.1530 0.1530 0.5372
4 Er 0.3829 0.3829 0.9017
5 Er 0.4790 0.4790 0.6232
6 Er 0.5210 0.5210 0.3768
7 Er 0.6171 0.6171 0.0983
8 Er 0.8470 0.8470 0.4628
9 Er 0.8616 0.8616 0.0515
10 Er 0.9819 0.9819 0.7785
11 Tm 0.2232 0.2232 0.7274
12 Tm 0.7768 0.7768 0.2726
13 Pd 0.2051 0.2051 0.3672
14 Pd 0.3182 0.3182 0.1619
15 Pd 0.6818 0.6818 0.8381
16 Pd 0.7949 0.7949 0.6328

Peak list (6 most intense, 5° ≤ 2θ ≤ 70°, in order of falling intensity)
2θ = 33.99°, intensity 100
2θ = 33.35°, intensity 81
2θ = 32.39°, intensity 58
2θ = 36.67°, intensity 39
2θ = 50.30°, intensity 38
2θ = 33.18°, intensity 38

***

For Er2TmPd3, DFT lattice parameters and positions (GGA-PBE) gives the computed X-ray diffraction stick pattern in this record (a wavelength of 1.5418 Å).
Neutral-atom scattering factors, no anomalous dispersion.

Crystal structure
a = 3.4755 Å, b = 3.4755 Å, c = 10.4060 Å
α = 90.00°, β = 90.00°, γ = 90.00°
Fractional coordinates of all 6 atoms:
1 Er 0.0000 0.0000 0.1673
2 Er 0.0000 0.0000 0.8327
3 Tm 0.0000 0.0000 0.5000
4 Pd 0.5000 0.5000 0.0000
5 Pd 0.5000 0.5000 0.3351
6 Pd 0.5000 0.5000 0.6649

Peak list (6 most intense, 5° ≤ 2θ ≤ 70°, in order of falling intensity)
2θ = 36.59°, intensity 100
2θ = 65.87°, intensity 36
2θ = 52.67°, intensity 12
2θ = 52.78°, intensity 6
2θ = 25.65°, intensity 5
2θ = 45.22°, intensity 2

***

For YErPd6, DFT lattice parameters and positions (GGA-PBE) gives the computed X-ray diffraction stick pattern in this record (a wavelength of 1.5418 Å).
Neutral-atom scattering factors, no anomalous dispersion.

Crystal structure
a = 4.1198 Å, b = 4.1198 Å, c = 8.2364 Å
α = 90.00°, β = 90.00°, γ = 90.00°
Fractional coordinates of all 8 atoms:
1 Y 0.0000 0.0000 0.0000
2 Er 0.0000 0.0000 0.5000
3 Pd 0.0000 0.5000 0.2526
4 Pd 0.0000 0.5000 0.7474
5 Pd 0.5000 0.0000 0.2526
6 Pd 0.5000 0.0000 0.7474
7 Pd 0.5000 0.5000 0.0000
8 Pd 0.5000 0.5000 0.5000

Peak list (6 most intense, 5° ≤ 2θ ≤ 70°, in order of falling intensity)
2θ = 37.83°, intensity 100
2θ = 43.96°, intensity 49
2θ = 63.92°, intensity 31
2θ = 10.74°, intensity 4
2θ = 24.15°, intensity 2
2θ = 45.39°, intensity 1

***

For YEr5Pd2, DFT lattice parameters and positions (GGA-PBE) gives the computed X-ray diffraction stick pattern in this record (a wavelength of 1.5418 Å).
Neutral-atom scattering factors, no anomalous dispersion.

Crystal structure
a = 6.7274 Å, b = 6.7274 Å, c = 17.8554 Å
α = 90.00°, β = 90.00°, γ = 147.49°
Fractional coordinates of all 16 atoms:
1 Y 0.1624 0.8376 0.7500
2 Y 0.8376 0.1624 0.2500
3 Er 0.1020 0.8980 0.2500
4 Er 0.1584 0.8416 0.5463
5 Er 0.1584 0.8416 0.9537
6 Er 0.4479 0.5521 0.5979
7 Er 0.4479 0.5521 0.9021
8 Er 0.5521 0.4479 0.0979
9 Er 0.5521 0.4479 0.4021
10 Er 0.8416 0.1584 0.0463
11 Er 0.8416 0.1584 0.4537
12 Er 0.8980 0.1020 0.7500
13 Pd 0.2344 0.7656 0.1293
14 Pd 0.2344 0.7656 0.3707
15 Pd 0.7656 0.2344 0.6293
16 Pd 0.7656 0.2344 0.8707

Peak list (6 most intense, 5° ≤ 2θ ≤ 70°, in order of falling intensity)
2θ = 31.56°, intensity 100
2θ = 35.06°, intensity 87
2θ = 31.85°, intensity 73
2θ = 35.33°, intensity 46
2θ = 34.27°, intensity 40
2θ = 48.34°, intensity 33

***

For Y4ErPd, DFT lattice parameters and positions (GGA-PBE) gives the computed X-ray diffraction stick pattern in this record (a wavelength of 1.5418 Å).
Neutral-atom scattering factors, no anomalous dispersion.

Crystal structure
a = 8.0146 Å, b = 8.0146 Å, c = 6.1085 Å
α = 99.93°, β = 99.93°, γ = 110.31°
Fractional coordinates of all 12 atoms:
1 Y 0.0659 0.7148 0.9464
2 Y 0.1746 0.3730 0.6319
3 Y 0.2852 0.9341 0.5536
4 Y 0.3730 0.1746 0.1319
5 Y 0.6270 0.8254 0.8681
6 Y 0.7148 0.0659 0.4464
7 Y 0.8254 0.6270 0.3681
8 Y 0.9341 0.2852 0.0536
9 Er 0.3964 0.6036 0.2500
10 Er 0.6036 0.3964 0.7500
11 Pd 0.0009 0.9991 0.2500
12 Pd 0.9991 0.0009 0.7500

Peak list (6 most intense, 5° ≤ 2θ ≤ 70°, in order of falling intensity)
2θ = 32.13°, intensity 100
2θ = 30.67°, intensity 75
2θ = 35.64°, intensity 58
2θ = 35.84°, intensity 57
2θ = 29.14°, intensity 48
2θ = 30.05°, intensity 36

***

For Y2Er2ZnPd4, DFT lattice parameters and positions (GGA-PBE) gives the computed X-ray diffraction stick pattern in this record (a wavelength of 1.5418 Å).
Neutral-atom scattering factors, no anomalous dispersion.

Crystal structure
a = 6.4269 Å, b = 6.4269 Å, c = 6.4269 Å
α = 115.70°, β = 115.70°, γ = 97.63°
Fractional coordinates of all 9 atoms:
1 Y 0.1879 0.1879 0.0000
2 Y 0.8121 0.8121 0.0000
3 Er 0.2500 0.7500 0.5000
4 Er 0.7500 0.2500 0.5000
5 Zn 0.5000 0.5000 0.0000
6 Pd 0.2435 0.2435 0.4869
7 Pd 0.2435 0.7565 0.0000
8 Pd 0.7565 0.2435 0.0000
9 Pd 0.7565 0.7565 0.5131

Peak list (6 most intense, 5° ≤ 2θ ≤ 70°, in order of falling intensity)
2θ = 33.69°, intensity 100
2θ = 37.18°, intensity 58
2θ = 64.81°, intensity 29
2θ = 57.91°, intensity 22
2θ = 53.59°, intensity 20
2θ = 28.02°, intensity 18

***

For ErZn4Pd7, DFT lattice parameters and positions (GGA-PBE) gives the computed X-ray diffraction stick pattern in this record (a wavelength of 1.5418 Å).
Neutral-atom scattering factors, no anomalous dispersion.

Crystal structure
a = 6.1671 Å, b = 6.1671 Å, c = 9.0321 Å
α = 121.22°, β = 121.22°, γ = 46.04°
Fractional coordinates of all 12 atoms:
1 Er 0.0000 0.0000 0.0000
2 Zn 0.2900 0.2900 0.6674
3 Zn 0.4296 0.4296 0.2269
4 Zn 0.5704 0.5704 0.7731
5 Zn 0.7100 0.7100 0.3326
6 Pd 0.0648 0.0648 0.3545
7 Pd 0.2203 0.2203 0.8920
8 Pd 0.3439 0.3439 0.4252
9 Pd 0.5000 0.5000 0.0000
10 Pd 0.6561 0.6561 0.5748
11 Pd 0.7797 0.7797 0.1080
12 Pd 0.9352 0.9352 0.6455

Peak list (6 most intense, 5° ≤ 2θ ≤ 70°, in order of falling intensity)
2θ = 37.29°, intensity 100
2θ = 41.53°, intensity 72
2θ = 34.79°, intensity 53
2θ = 40.75°, intensity 39
2θ = 36.14°, intensity 39
2θ = 32.96°, intensity 33

***

For ErZn2Pd4, DFT lattice parameters and positions (GGA-PBE) gives the computed X-ray diffraction stick pattern in this record (a wavelength of 1.5418 Å).
Neutral-atom scattering factors, no anomalous dispersion.

Crystal structure
a = 5.4435 Å, b = 5.4435 Å, c = 5.4435 Å
α = 106.54°, β = 106.54°, γ = 115.51°
Fractional coordinates of all 7 atoms:
1 Er 0.0000 0.0000 0.0000
2 Zn 0.0000 0.5000 0.5000
3 Zn 0.5000 0.0000 0.5000
4 Pd 0.0000 0.0000 0.5000
5 Pd 0.0000 0.5000 0.0000
6 Pd 0.5000 0.0000 0.0000
7 Pd 0.5000 0.5000 0.5000

Peak list (6 most intense, 5° ≤ 2θ ≤ 70°, in order of falling intensity)
2θ = 41.68°, intensity 100
2θ = 39.13°, intensity 60
2θ = 20.49°, intensity 31
2θ = 56.54°, intensity 20
2θ = 34.45°, intensity 17
2θ = 64.13°, intensity 7

***

For ErZnPd6, DFT lattice parameters and positions (GGA-PBE) gives the computed X-ray diffraction stick pattern in this record (a wavelength of 1.5418 Å).
Neutral-atom scattering factors, no anomalous dispersion.

Crystal structure
a = 4.0323 Å, b = 4.0323 Å, c = 7.9508 Å
α = 90.00°, β = 90.00°, γ = 90.00°
Fractional coordinates of all 8 atoms:
1 Er 0.0000 0.0000 0.0000
2 Zn 0.0000 0.0000 0.5000
3 Pd 0.0000 0.5000 0.2632
4 Pd 0.0000 0.5000 0.7368
5 Pd 0.5000 0.0000 0.2632
6 Pd 0.5000 0.0000 0.7368
7 Pd 0.5000 0.5000 0.0000
8 Pd 0.5000 0.5000 0.5000

Peak list (6 most intense, 5° ≤ 2θ ≤ 70°, in order of falling intensity)
2θ = 38.87°, intensity 100
2θ = 44.96°, intensity 33
2θ = 66.00°, intensity 20
2θ = 45.64°, intensity 15
2θ = 65.47°, intensity 11
2θ = 24.76°, intensity 4